# Mg3Fe2Si4O14
Calculated powder diffraction line list, Cu Kα (weighted mean of Kα1 and Kα2). Input: the PBE+U geometry in the Materials Project.

Most intense lines, 10 to 90 degrees two-theta, by angle:
Position (°2θ)	I (rel.)
12.6	100
28.1	75
29.2	84
29.8	59
31.3	75
31.8	64
32.4	66
38.7	97

Structural model:
a = 9.256 Å, b = 9.256 Å, c = 10.005 Å
α = 120.49°, β = 120.49°, γ = 48.84°
Positions (direct):
Mg  0.105  0.895  0.750
Mg  0.232  0.431  0.611
Mg  0.431  0.232  0.111
Mg  0.569  0.768  0.889
Mg  0.768  0.569  0.389
Mg  0.895  0.105  0.250
Fe  0.299  0.701  0.250
Fe  0.500  0.500  0.000
Fe  0.500  0.500  0.500
Fe  0.701  0.299  0.750
Si  0.018  0.748  0.899
Si  0.045  0.587  0.294
Si  0.252  0.982  0.601
Si  0.413  0.955  0.206
Si  0.587  0.045  0.794
Si  0.748  0.018  0.399
Si  0.955  0.413  0.706
Si  0.982  0.252  0.101
O  0.004  0.566  0.873
O  0.018  0.580  0.438
O  0.043  0.864  0.089
O  0.119  0.185  0.725
O  0.136  0.957  0.411
O  0.185  0.119  0.225
O  0.195  0.670  0.830
O  0.261  0.527  0.304
O  0.330  0.805  0.670
O  0.389  0.457  0.081
O  0.420  0.982  0.062
O  0.434  0.996  0.627
O  0.457  0.389  0.581
O  0.473  0.739  0.196
O  0.527  0.261  0.804
O  0.543  0.611  0.419
O  0.566  0.004  0.373
O  0.580  0.018  0.938
O  0.611  0.543  0.919
O  0.670  0.195  0.330
O  0.739  0.473  0.696
O  0.805  0.330  0.170
O  0.815  0.881  0.775
O  0.864  0.043  0.589
O  0.881  0.815  0.275
O  0.957  0.136  0.911
O  0.982  0.420  0.562
O  0.996  0.434  0.127


# MgFeSiO5
Calculated powder diffraction line list, Cu Kα (weighted mean of Kα1 and Kα2). Input: the PBE+U geometry in the Materials Project.

Most intense lines, 10 to 90 degrees two-theta, by angle:
Position (°2θ)	I (rel.)
18.4	48
28.1	100
30.5	60
35.0	28
35.1	24
35.6	52
44.5	21
55.5	21

Structural model:
a = 5.338 Å, b = 5.357 Å, c = 6.899 Å
α = 104.68°, β = 104.57°, γ = 105.82°
Positions (direct):
Mg  0.000  0.000  0.000
Mg  0.352  0.653  0.501
Fe  0.671  0.323  0.744
Fe  0.672  0.322  0.244
Si  0.343  0.650  0.994
Si  0.998  0.993  0.494
O  0.003  0.208  0.363
O  0.036  0.599  0.830
O  0.306  0.048  0.661
O  0.340  0.431  0.122
O  0.392  0.958  0.157
O  0.564  0.658  0.866
O  0.583  0.406  0.494
O  0.759  0.238  0.994
O  0.775  0.987  0.620
O  0.954  0.685  0.334


# MgZn2Fe2Si2O10
Calculated powder diffraction line list, Cu Kα (weighted mean of Kα1 and Kα2). Input: the PBE+U geometry in the Materials Project.

Most intense lines, 10 to 90 degrees two-theta, by angle:
Position (°2θ)	I (rel.)
24.1	100
26.6	28
26.9	36
27.2	21
35.8	26
36.2	20
36.4	21
49.4	16

Structural model:
a = 5.690 Å, b = 5.754 Å, c = 7.344 Å
α = 72.37°, β = 70.76°, γ = 88.09°
Positions (direct):
Mg  0.000  0.000  0.000
Zn  0.013  0.550  0.631
Zn  0.393  0.168  0.154
Fe  0.627  0.759  0.394
Fe  0.630  0.809  0.871
Si  0.073  0.505  0.085
Si  0.309  0.180  0.609
O  0.001  0.181  0.712
O  0.025  0.207  0.165
O  0.384  0.480  0.507
O  0.385  0.528  0.019
O  0.386  0.047  0.812
O  0.403  0.036  0.440
O  0.626  0.925  0.103
O  0.749  0.755  0.609
O  0.962  0.661  0.246
O  0.968  0.644  0.896


# MgZn2Fe2Si2O10
Calculated powder diffraction line list, Cu Kα (weighted mean of Kα1 and Kα2). Input: the PBE+U geometry in the Materials Project.

Most intense lines, 10 to 90 degrees two-theta, by angle:
Position (°2θ)	I (rel.)
17.4	25
18.2	45
26.5	42
27.2	100
36.4	31
37.0	23
39.4	22
42.0	42

Structural model:
a = 5.414 Å, b = 5.465 Å, c = 7.226 Å
α = 106.83°, β = 107.18°, γ = 93.64°
Positions (direct):
Mg  0.000  0.000  0.000
Zn  0.293  0.420  0.316
Zn  0.707  0.579  0.685
Fe  0.500  0.000  0.000
Fe  0.500  0.999  0.500
Si  0.155  0.372  0.748
Si  0.844  0.628  0.251
O  0.149  0.682  0.851
O  0.152  0.746  0.399
O  0.245  0.225  0.921
O  0.355  0.331  0.610
O  0.373  0.071  0.231
O  0.627  0.929  0.769
O  0.644  0.668  0.390
O  0.754  0.774  0.079
O  0.848  0.253  0.600
O  0.849  0.318  0.148


# Mg6FeSnO8
Calculated powder diffraction line list, Cu Kα (weighted mean of Kα1 and Kα2). Input: the PBE+U geometry in the Materials Project.

Most intense lines, 10 to 90 degrees two-theta, by angle:
Position (°2θ)	I (rel.)
10.1	81
30.1	35
35.0	57
40.4	100
41.0	46
58.4	30
58.9	56
73.9	27

Structural model:
a = 4.467 Å, b = 4.467 Å, c = 8.797 Å
α = 90.00°, β = 90.00°, γ = 90.00°
Positions (direct):
Mg  0.000  0.000  0.000
Mg  0.000  0.500  0.239
Mg  0.000  0.500  0.761
Mg  0.500  0.000  0.239
Mg  0.500  0.000  0.761
Mg  0.500  0.500  0.000
Fe  0.000  0.000  0.500
Sn  0.500  0.500  0.500
O  0.000  0.000  0.246
O  0.000  0.000  0.754
O  0.000  0.500  0.000
O  0.000  0.500  0.500
O  0.500  0.000  0.000
O  0.500  0.000  0.500
O  0.500  0.500  0.226
O  0.500  0.500  0.774


# Mg6FeSnO8
Calculated powder diffraction line list, Cu Kα (weighted mean of Kα1 and Kα2). Input: the PBE+U geometry in the Materials Project.

Most intense lines, 10 to 90 degrees two-theta, by angle:
Position (°2θ)	I (rel.)
19.8	47
28.4	40
34.9	57
40.3	100
40.9	46
58.3	30
58.8	57
73.7	27

Structural model:
a = 4.473 Å, b = 4.473 Å, c = 8.824 Å
α = 90.00°, β = 90.00°, γ = 90.00°
Positions (direct):
Mg  0.000  0.000  0.000
Mg  0.000  0.000  0.500
Mg  0.000  0.500  0.238
Mg  0.000  0.500  0.762
Mg  0.500  0.000  0.238
Mg  0.500  0.000  0.762
Fe  0.500  0.500  0.000
Sn  0.500  0.500  0.500
O  0.000  0.000  0.248
O  0.000  0.000  0.752
O  0.000  0.500  0.000
O  0.000  0.500  0.500
O  0.500  0.000  0.000
O  0.500  0.000  0.500
O  0.500  0.500  0.229
O  0.500  0.500  0.771


# Sr2MgFeO4
Calculated powder diffraction line list, Cu Kα (weighted mean of Kα1 and Kα2). Input: the PBE+U geometry in the Materials Project.

Most intense lines, 10 to 90 degrees two-theta, by angle:
Position (°2θ)	I (rel.)
25.6	22
25.8	21
32.6	100
32.7	53
33.0	52
35.2	31
46.7	54
68.3	16

Structural model:
a = 3.887 Å, b = 3.887 Å, c = 7.655 Å
α = 90.48°, β = 90.48°, γ = 90.03°
Positions (direct):
Sr  0.000  0.000  0.000
Sr  0.503  0.503  0.343
Mg  0.497  0.497  0.771
Fe  0.996  0.996  0.590
O  0.008  0.008  0.329
O  0.498  0.996  0.702
O  0.503  0.503  0.036
O  0.996  0.498  0.702


# SrMgFeO3
Calculated powder diffraction line list, Cu Kα (weighted mean of Kα1 and Kα2). Input: the PBE+U geometry in the Materials Project.

Most intense lines, 10 to 90 degrees two-theta, by angle:
Position (°2θ)	I (rel.)
22.3	39
32.6	68
33.5	28
33.9	100
36.5	53
37.0	53
42.1	54
56.9	27

Structural model:
a = 3.362 Å, b = 4.293 Å, c = 5.982 Å
α = 110.91°, β = 105.63°, γ = 90.08°
Positions (direct):
Sr  0.000  0.000  0.000
Mg  0.321  0.309  0.618
Fe  0.707  0.684  0.368
O  0.317  0.808  0.616
O  0.477  0.498  0.996
O  0.717  0.200  0.400


# Sr2MgFeO4
Calculated powder diffraction line list, Cu Kα (weighted mean of Kα1 and Kα2). Input: the PBE+U geometry in the Materials Project.

Most intense lines, 10 to 90 degrees two-theta, by angle:
Position (°2θ)	I (rel.)
29.0	89
34.5	100
36.4	42
41.0	30
52.4	33
52.8	26
58.4	24
64.3	28

Structural model:
a = 10.048 Å, b = 10.048 Å, c = 10.048 Å
α = 160.00°, β = 160.00°, γ = 28.43°
Positions (direct):
Sr  0.128  0.128  0.000
Sr  0.872  0.872  0.000
Mg  0.750  0.250  0.500
Fe  0.500  0.500  0.000
O  0.307  0.307  0.000
O  0.548  0.048  0.500
O  0.693  0.693  0.000
O  0.952  0.452  0.500